No. 1
This entry pairs a crystal structure of NdAl2Ga with its computed powder X-ray diffraction pattern. Radiation: λ = 1.5418 Å (Cu Kα). Structure: a DFT-relaxed cell (PBE, OQMD).

Top 8 peaks for 5 to 70 degrees two-theta, by angle:
2θ/deg	d/Å	I/Imax
15.71	5.640	15
25.11	3.546	59
27.42	3.252	29
31.75	2.818	26
37.52	2.397	100
39.51	2.281	21
48.77	1.867	12
51.55	1.773	13

Atomic structure:
Lattice parameters (Å, degrees): 4.562 6.501 6.501 119.81 90.00 90.00
Fractional positions:
Nd 0.250 0.166 0.834
Nd 0.750 0.834 0.166
Al 0.250 0.218 0.361
Al 0.250 0.641 0.361
Al 0.750 0.361 0.218
Al 0.750 0.361 0.641
Ga 0.250 0.641 0.788
Ga 0.750 0.788 0.641


No. 2
This entry pairs a crystal structure of Nd2Al3Ga3 with its computed powder X-ray diffraction pattern. Radiation: λ = 1.5418 Å (Cu Kα). Structure: a DFT-relaxed cell (PBE, OQMD).

Top 8 peaks for 5 to 70 degrees two-theta, by angle:
2θ/deg	d/Å	I/Imax
25.24	3.529	45
27.37	3.259	21
31.70	2.822	29
37.57	2.394	100
39.88	2.261	20
42.37	2.133	12
51.81	1.764	15
56.47	1.629	16

Atomic structure:
Lattice parameters (Å, degrees): 6.518 6.518 4.522 90.00 90.00 120.00
Fractional positions:
Nd 0.000 0.000 0.000
Nd 0.333 0.667 0.500
Al 0.385 0.192 0.500
Al 0.808 0.192 0.500
Al 0.808 0.615 0.500
Ga 0.524 0.048 0.000
Ga 0.524 0.476 0.000
Ga 0.952 0.476 0.000


No. 3
This entry pairs a crystal structure of Nd2Al3Ga3 with its computed powder X-ray diffraction pattern. Radiation: λ = 1.5418 Å (Cu Kα). Structure: a DFT-relaxed cell (PBE, OQMD).

Top 8 peaks for 5 to 70 degrees two-theta, by angle:
2θ/deg	d/Å	I/Imax
15.74	5.631	13
25.12	3.545	45
27.43	3.252	21
31.78	2.816	26
37.53	2.396	100
39.50	2.281	21
51.56	1.773	13
56.61	1.626	17

Atomic structure:
Lattice parameters (Å, degrees): 4.563 6.502 6.502 60.03 90.00 90.00
Fractional positions:
Nd 0.000 0.000 0.000
Nd 0.500 0.334 0.334
Al 0.000 0.525 0.948
Al 0.000 0.948 0.525
Al 0.500 0.806 0.806
Ga 0.000 0.523 0.523
Ga 0.500 0.380 0.811
Ga 0.500 0.811 0.380


No. 4
This entry pairs a crystal structure of Al3GaNi4 with its computed powder X-ray diffraction pattern. Radiation: λ = 1.5418 Å (Cu Kα). Structure: a DFT-relaxed cell (PBE, OQMD).

Top 8 peaks for 5 to 70 degrees two-theta, by angle:
2θ/deg	d/Å	I/Imax
19.17	4.631	7
27.22	3.276	16
33.51	2.674	14
38.90	2.315	11
43.71	2.071	100
48.13	1.890	51
59.91	1.544	6
67.02	1.396	11

Atomic structure:
Lattice parameters (Å, degrees): 4.631 4.631 4.631 90.07 90.07 90.07
Fractional positions:
Al 0.105 0.292 0.603
Al 0.292 0.603 0.105
Al 0.603 0.105 0.292
Ga 0.792 0.792 0.792
Ni 0.096 0.096 0.096
Ni 0.303 0.803 0.592
Ni 0.592 0.303 0.803
Ni 0.803 0.592 0.303


No. 5
This entry pairs a crystal structure of AlGa2Ni5 with its computed powder X-ray diffraction pattern. Radiation: λ = 1.5418 Å (Cu Kα). Structure: a DFT-relaxed cell (PBE, OQMD).

Top 8 peaks for 5 to 70 degrees two-theta, by angle:
2θ/deg	d/Å	I/Imax
17.70	5.011	4
23.70	3.754	3
35.83	2.506	2
42.03	2.150	4
43.42	2.084	100
45.61	1.989	7
48.50	1.877	35
54.53	1.683	12

Atomic structure:
Lattice parameters (Å, degrees): 5.041 5.041 3.755 90.00 90.00 96.23
Fractional positions:
Al 0.000 0.000 0.000
Ga 0.280 0.720 0.500
Ga 0.720 0.280 0.500
Ni 0.000 0.500 0.000
Ni 0.223 0.223 0.500
Ni 0.500 0.000 0.000
Ni 0.500 0.500 0.000
Ni 0.777 0.777 0.500


No. 6
This entry pairs a crystal structure of Pr3AlGaNi4 with its computed powder X-ray diffraction pattern. Radiation: λ = 1.5418 Å (Cu Kα). Structure: a DFT-relaxed cell (PBE, OQMD).

Top 8 peaks for 5 to 70 degrees two-theta, by angle:
2θ/deg	d/Å	I/Imax
26.10	3.414	100
30.82	2.902	56
34.14	2.627	80
34.61	2.592	51
38.34	2.348	73
38.70	2.327	48
41.49	2.176	60
43.45	2.083	59

Atomic structure:
Lattice parameters (Å, degrees): 5.545 5.545 8.342 98.34 98.34 44.12
Fractional positions:
Pr 0.000 0.000 0.000
Pr 0.248 0.248 0.760
Pr 0.624 0.624 0.380
Al 0.946 0.946 0.592
Ga 0.302 0.302 0.168
Ni 0.362 0.362 0.466
Ni 0.538 0.538 0.741
Ni 0.710 0.710 0.019
Ni 0.886 0.886 0.294